1.
For LaErCu4, a cell relaxed with GGA-PBE gives the simulated XRD peak list in this record (Cu Kα, 1.54184 Å).
Peak positions follow from Bragg's law for the DFT cell and can differ from measured ones.

Largest 6 diffraction maxima, by angle, 2θ = 5–70°:
Position (°2θ)  intensity
28.6  328
34.3  1000
37.1  559
46.3  355
47.3  308
60.7  255

Crystal structure
abc: 3.9254 3.9254 15.4227
angles: 90.00 90.00 90.00
Space group I-4m2 (No. 119)
Symmetry-distinct sites (fractional):
La1 0.0000 0.0000 0.0000 [2 per cell]
Er1 0.0000 0.5000 0.2500 [2 per cell]
Cu1 0.0000 0.0000 0.4168 [4 per cell]
Cu2 0.0000 0.5000 0.6725 [4 per cell]

---

2.
For LaEr2Cu9, a cell relaxed with GGA-PBE gives the simulated XRD peak list in this record (Cu Kα, 1.54184 Å).
Peak positions follow from Bragg's law for the DFT cell and can differ from measured ones.

Largest 6 diffraction maxima, by angle, 2θ = 5–70°:
Position (°2θ)  intensity
33.8  505
34.0  475
39.8  292
40.7  1000
42.9  227
65.4  234

Crystal structure
abc: 5.2752 5.2752 16.3150
angles: 90.00 90.00 120.00
Space group P6_3/mmc (No. 194)
Symmetry-distinct sites (fractional):
La1 0.3333 0.6667 0.2500 [2 per cell]
Er1 0.3333 0.6667 0.0328 [4 per cell]
Cu1 0.0000 0.0000 0.0000 [2 per cell]
Cu2 0.0000 0.0000 0.2500 [2 per cell]
Cu3 0.1671 0.3342 0.6245 [12 per cell]
Cu4 0.3333 0.6667 0.7500 [2 per cell]

---

3.
For La2ErCuSe5, a cell relaxed with GGA-PBE gives the simulated XRD peak list in this record (Cu Kα, 1.54184 Å).
Peak positions follow from Bragg's law for the DFT cell and can differ from measured ones.

Largest 6 diffraction maxima, by angle, 2θ = 5–70°:
Position (°2θ)  intensity
24.0  139
31.2  1000
36.5  433
42.5  110
43.9  198
54.8  117

Crystal structure
abc: 4.1261 17.7357 12.2546
angles: 90.00 90.00 90.00
Space group Cmc2_1 (No. 36)
Symmetry-distinct sites (fractional):
La1 0.0000 0.1108 0.0000 [4 per cell]
La2 0.0000 0.1219 0.6256 [4 per cell]
Er1 0.0000 0.1924 0.3241 [4 per cell]
Cu1 0.0000 0.4364 0.7637 [4 per cell]
Se1 0.0000 0.0414 0.3676 [4 per cell]
Se2 0.0000 0.2905 0.9839 [4 per cell]
Se3 0.0000 0.3101 0.6635 [4 per cell]
Se4 0.0000 0.3543 0.3155 [4 per cell]
Se5 0.0000 0.4993 0.0891 [4 per cell]